Record 1
Starting from a crystal structure in the Materials Project, relaxed with GGA-PBE, the X-ray diffraction stick pattern of SrHI was calculated for a wavelength of 1.5418 Å.
Intensities are scaled so that the largest is 100.

Atomic structure:
```
data_SrHI
_chemical_formula_sum 'Sr2 H2 I2'
_cell_length_a 4.281
_cell_length_b 4.281
_cell_length_c 9.394
_cell_angle_alpha 90.00
_cell_angle_beta 90.00
_cell_angle_gamma 90.00
_symmetry_space_group_name_H-M 'P 1'
_symmetry_Int_Tables_number 1
_symmetry_space_group_name_Hall 'P 1'
loop_
_atom_site_label
_atom_site_type_symbol
_atom_site_fract_x
_atom_site_fract_y
_atom_site_fract_z
_atom_site_occupancy
Sr1 Sr 0.250 0.250 0.142 1
Sr2 Sr 0.750 0.750 0.858 1
H1 H 0.250 0.750 0.000 1
H2 H 0.750 0.250 0.000 1
I1 I 0.250 0.250 0.689 1
I2 I 0.750 0.750 0.311 1
```

Main lines, in order of rising 2θ (5° ≤ 2θ ≤ 70°):
2theta  d_spacing  I_rel
18.9  4.697  26
22.8  3.896  13
28.2  3.164  100
29.5  3.027  67
35.3  2.545  22
35.5  2.527  15
42.2  2.141  25
44.0  2.059  26
51.5  1.773  37
62.6  1.484  18

=====

Record 2
Starting from a crystal structure in the Materials Project, relaxed with GGA-PBE, the X-ray diffraction stick pattern of Rb2TlHgBr6 was calculated for a wavelength of 1.5418 Å.
Intensities are scaled so that the largest is 100.

Atomic structure:
```
data_Rb2TlHgBr6
_chemical_formula_sum 'Rb2 Tl1 Hg1 Br6'
_cell_length_a 8.112
_cell_length_b 8.112
_cell_length_c 8.112
_cell_angle_alpha 60.00
_cell_angle_beta 60.00
_cell_angle_gamma 60.00
_symmetry_space_group_name_H-M 'P 1'
_symmetry_Int_Tables_number 1
_symmetry_space_group_name_Hall 'P 1'
loop_
_atom_site_label
_atom_site_type_symbol
_atom_site_fract_x
_atom_site_fract_y
_atom_site_fract_z
_atom_site_occupancy
Rb1 Rb 0.250 0.250 0.250 1
Rb2 Rb 0.750 0.750 0.750 1
Tl1 Tl 0.000 0.000 0.000 1
Hg1 Hg 0.500 0.500 0.500 1
Br1 Br 0.254 0.254 0.746 1
Br2 Br 0.254 0.746 0.254 1
Br3 Br 0.254 0.746 0.746 1
Br4 Br 0.746 0.254 0.254 1
Br5 Br 0.746 0.254 0.746 1
Br6 Br 0.746 0.746 0.254 1
```

Main lines, in order of rising 2θ (5° ≤ 2θ ≤ 70°):
2theta  d_spacing  I_rel
15.4  5.736  71
21.9  4.056  69
31.2  2.868  100
35.0  2.565  39
38.4  2.342  34
44.7  2.028  73
47.6  1.912  21
50.3  1.814  16
55.5  1.656  26
60.4  1.533  19

=====

Record 3
Starting from a crystal structure in the Materials Project, relaxed with GGA-PBE, the X-ray diffraction stick pattern of GeI4 was calculated for a wavelength of 1.5418 Å.
Intensities are scaled so that the largest is 100.

Atomic structure:
```
data_GeI4
_chemical_formula_sum 'Ge8 I32'
_cell_length_a 12.926
_cell_length_b 12.926
_cell_length_c 12.926
_cell_angle_alpha 90.00
_cell_angle_beta 90.00
_cell_angle_gamma 90.00
_symmetry_space_group_name_H-M 'P 1'
_symmetry_Int_Tables_number 1
_symmetry_space_group_name_Hall 'P 1'
loop_
_atom_site_label
_atom_site_type_symbol
_atom_site_fract_x
_atom_site_fract_y
_atom_site_fract_z
_atom_site_occupancy
Ge1 Ge 0.131 0.131 0.131 1
Ge2 Ge 0.131 0.369 0.631 1
Ge3 Ge 0.369 0.631 0.131 1
Ge4 Ge 0.369 0.869 0.631 1
Ge5 Ge 0.631 0.131 0.369 1
Ge6 Ge 0.631 0.369 0.869 1
Ge7 Ge 0.869 0.631 0.369 1
Ge8 Ge 0.869 0.869 0.869 1
I1 I 0.011 0.245 0.024 1
I2 I 0.011 0.255 0.524 1
I3 I 0.024 0.011 0.245 1
I4 I 0.024 0.489 0.745 1
I5 I 0.244 0.244 0.244 1
I6 I 0.244 0.256 0.744 1
I7 I 0.245 0.024 0.011 1
I8 I 0.245 0.476 0.511 1
I9 I 0.255 0.524 0.011 1
I10 I 0.255 0.976 0.511 1
I11 I 0.256 0.744 0.244 1
I12 I 0.256 0.756 0.744 1
I13 I 0.476 0.511 0.245 1
I14 I 0.476 0.989 0.745 1
I15 I 0.489 0.745 0.024 1
I16 I 0.489 0.755 0.524 1
I17 I 0.511 0.245 0.476 1
I18 I 0.511 0.255 0.976 1
I19 I 0.524 0.011 0.255 1
I20 I 0.524 0.489 0.755 1
I21 I 0.744 0.244 0.256 1
I22 I 0.744 0.256 0.756 1
I23 I 0.745 0.024 0.489 1
I24 I 0.745 0.476 0.989 1
I25 I 0.755 0.524 0.489 1
I26 I 0.755 0.976 0.989 1
I27 I 0.756 0.744 0.256 1
I28 I 0.756 0.756 0.756 1
I29 I 0.976 0.511 0.255 1
I30 I 0.976 0.989 0.755 1
I31 I 0.989 0.745 0.476 1
I32 I 0.989 0.755 0.976 1
```

Main lines, in order of rising 2θ (5° ≤ 2θ ≤ 70°):
2theta  d_spacing  I_rel
15.3  5.781  13
16.8  5.277  17
23.8  3.731  100
27.6  3.231  36
39.4  2.285  46
46.6  1.949  38
47.7  1.906  7
48.8  1.866  7
62.7  1.483  12
64.5  1.445  7

=====

Record 4
Starting from a crystal structure in the Materials Project, relaxed with GGA-PBE, the X-ray diffraction stick pattern of CeGaCu4 was calculated for a wavelength of 1.5418 Å.
Intensities are scaled so that the largest is 100.

Atomic structure:
```
data_CeGaCu4
_chemical_formula_sum 'Ce1 Ga1 Cu4'
_cell_length_a 5.129
_cell_length_b 5.129
_cell_length_c 4.152
_cell_angle_alpha 90.00
_cell_angle_beta 90.00
_cell_angle_gamma 119.90
_symmetry_space_group_name_H-M 'P 1'
_symmetry_Int_Tables_number 1
_symmetry_space_group_name_Hall 'P 1'
loop_
_atom_site_label
_atom_site_type_symbol
_atom_site_fract_x
_atom_site_fract_y
_atom_site_fract_z
_atom_site_occupancy
Ce1 Ce 0.000 0.000 0.000 1
Ga1 Ga 0.500 0.500 0.500 1
Cu1 Cu 0.000 0.500 0.500 1
Cu2 Cu 0.332 0.668 0.000 1
Cu3 Cu 0.500 0.000 0.500 1
Cu4 Cu 0.668 0.332 0.000 1
```

Main lines, in order of rising 2θ (5° ≤ 2θ ≤ 70°):
2theta  d_spacing  I_rel
29.4  3.034  41
35.0  2.566  28
40.6  2.222  35
41.4  2.183  100
43.6  2.076  28
46.3  1.959  12
57.1  1.614  13
59.4  1.557  11
61.1  1.517  20
67.1  1.396  15